Entry 1:
Starting from the PBE geometry in Alexandria, the powder diffractogram of Sr2LaBe was simulated for Cu Ka.
Kinematic intensities with the Lorentz-polarization factor, no thermal factor.

The 10 most intense peaks (10° ≤ 2θ ≤ 80°), sorted by position:
2θ (°)	I_rel
23.48	27
25.08	100
26.26	56
29.39	89
33.45	66
35.52	24
43.02	59
48.04	23
55.57	28
57.32	26

a = 3.788 Å, b = 3.788 Å, c = 10.181 Å
α = 90.00°, β = 90.00°, γ = 90.00°
Sites, in units of the cell vectors:
1 Sr 0.000 0.000 0.000
2 Sr 0.500 0.500 0.346
3 La 0.500 0.500 0.687
4 Be 0.000 0.000 0.537



Entry 2:
Starting from the PBE geometry in Alexandria, the powder diffractogram of Li7AgPt3 was simulated for Cu Ka.
Kinematic intensities with the Lorentz-polarization factor, no thermal factor.

The 10 most intense peaks (10° ≤ 2θ ≤ 80°), sorted by position:
2θ (°)	I_rel
16.74	31
23.77	100
25.23	55
27.95	28
33.00	25
35.16	29
40.14	48
40.87	39
45.50	25
50.41	22

a = 10.679 Å, b = 10.679 Å, c = 12.004 Å
α = 90.00°, β = 90.00°, γ = 165.27°
Sites, in units of the cell vectors:
1 Li 0.060 0.940 0.629
2 Li 0.060 0.940 0.871
3 Li 0.100 0.900 0.098
4 Li 0.100 0.900 0.402
5 Li 0.192 0.808 0.750
6 Li 0.222 0.778 0.093
7 Li 0.222 0.778 0.407
8 Li 0.778 0.222 0.593
9 Li 0.778 0.222 0.907
10 Li 0.808 0.192 0.250
11 Li 0.900 0.100 0.598
12 Li 0.900 0.100 0.902
13 Li 0.940 0.060 0.129
14 Li 0.940 0.060 0.371
15 Ag 0.471 0.529 0.750
16 Ag 0.529 0.471 0.250
17 Pt 0.333 0.667 0.750
18 Pt 0.343 0.657 0.064
19 Pt 0.343 0.657 0.436
20 Pt 0.657 0.343 0.564
21 Pt 0.657 0.343 0.936
22 Pt 0.667 0.333 0.250



Entry 3:
Starting from the PBE geometry in Alexandria, the powder diffractogram of Cs2Rb3Na9 was simulated for Cu Ka.
Kinematic intensities with the Lorentz-polarization factor, no thermal factor.

The 10 most intense peaks (10° ≤ 2θ ≤ 80°), sorted by position:
2θ (°)	I_rel
16.16	54
20.10	70
20.38	73
22.07	41
22.18	69
24.77	88
26.00	100
28.75	32
30.64	34
39.71	44

a = 12.233 Å, b = 12.233 Å, c = 12.421 Å
α = 90.00°, β = 90.00°, γ = 61.83°
Sites, in units of the cell vectors:
1 Cs 0.033 0.672 0.750
2 Cs 0.328 0.967 0.750
3 Cs 0.672 0.033 0.250
4 Cs 0.967 0.328 0.250
5 Rb 0.000 0.000 0.000
6 Rb 0.000 0.000 0.500
7 Rb 0.293 0.293 0.000
8 Rb 0.293 0.293 0.500
9 Rb 0.707 0.707 0.000
10 Rb 0.707 0.707 0.500
11 Na 0.056 0.642 0.110
12 Na 0.056 0.642 0.390
13 Na 0.210 0.790 0.250
14 Na 0.358 0.642 0.517
15 Na 0.358 0.642 0.983
16 Na 0.358 0.944 0.110
17 Na 0.358 0.944 0.390
18 Na 0.381 0.456 0.250
19 Na 0.456 0.381 0.750
20 Na 0.544 0.619 0.250
21 Na 0.619 0.544 0.750
22 Na 0.642 0.056 0.610
23 Na 0.642 0.056 0.890
24 Na 0.642 0.358 0.017
25 Na 0.642 0.358 0.483
26 Na 0.790 0.210 0.750
27 Na 0.944 0.358 0.610
28 Na 0.944 0.358 0.890